No. 1
Structure and computed powder diffractogram of Hf2ZrNi3As4Pd (a crystal structure in OQMD, relaxed with GGA-PBE; Cu Kα (weighted mean of Kα1 and Kα2)).
Lines closer than 0.1° are merged.

Structure:
a b c (Å): 6.499 3.854 7.342
angles (deg): 90.00 91.05 90.00
Space group Pm (No. 6)
One atom of each set of equivalent atoms:
Hf 0.000 0.000 0.000 x1
Hf 0.063 0.500 0.621 x1
Zr 0.555 0.500 0.480 x1
Ni 0.142 0.500 0.252 x1
Ni 0.681 0.500 0.863 x1
Ni 0.896 0.000 0.367 x1
As 0.271 0.000 0.402 x1
As 0.294 0.500 0.955 x1
As 0.765 0.500 0.179 x1
As 0.775 0.000 0.681 x1
Pd 0.380 0.000 0.751 x1

Peak list (10 most intense, 5° ≤ 2θ ≤ 70°, by intensity)
| d_spacing | intensity | (hkl) |
| --- | --- | --- |
| 2.450 | 100.0 | 1 1 2 |
| 2.363 | 96.3 | 2 1 -1 |
| 6.498 | 66.8 | 1 0 0 |
| 1.927 | 64.2 | 0 2 0 |
| 2.343 | 63.6 | 2 1 1 |
| 2.066 | 57.1 | 0 1 3 |
| 2.484 | 52.1 | 2 1 0 |
| 3.032 | 36.7 | 1 1 -1 |
| 2.068 | 35.8 | 3 0 1 |
| 1.978 | 33.4 | 1 1 -3 |

***

No. 2
Structure and computed powder diffractogram of HfZr2Ni3As4Pd (a crystal structure in OQMD, relaxed with GGA-PBE; Cu Kα (weighted mean of Kα1 and Kα2)).
Lines closer than 0.1° are merged.

Structure:
a b c (Å): 6.500 3.867 7.360
angles (deg): 90.00 90.92 90.00
Space group Pm (No. 6)
One atom of each set of equivalent atoms:
Hf 0.000 0.000 0.000 x1
Zr 0.446 0.500 0.518 x1
Zr 0.508 0.000 0.139 x1
Ni 0.121 0.000 0.381 x1
Ni 0.338 0.500 0.884 x1
Ni 0.592 0.000 0.770 x1
As 0.209 0.000 0.700 x1
As 0.218 0.500 0.198 x1
As 0.720 0.500 0.918 x1
As 0.744 0.000 0.473 x1
Pd 0.830 0.500 0.268 x1

Peak list (10 most intense, 5° ≤ 2θ ≤ 70°, by intensity)
| d_spacing | intensity | (hkl) |
| --- | --- | --- |
| 2.456 | 100.0 | 1 1 2 |
| 2.071 | 92.9 | 0 1 3 |
| 2.366 | 89.4 | 2 1 -1 |
| 2.348 | 72.9 | 2 1 1 |
| 1.934 | 70.5 | 0 2 0 |
| 2.488 | 64.7 | 2 1 0 |
| 7.359 | 51.1 | 0 0 1 |
| 2.477 | 35.1 | 1 1 -2 |
| 2.307 | 32.5 | 1 0 -3 |
| 4.833 | 31.4 | 1 0 1 |

***

No. 3
Structure and computed powder diffractogram of Hf2ZrNi2As4Pd2 (a crystal structure in OQMD, relaxed with GGA-PBE; Cu Kα (weighted mean of Kα1 and Kα2)).
Lines closer than 0.1° are merged.

Structure:
a b c (Å): 6.493 3.869 7.558
angles (deg): 90.00 91.27 90.00
Space group Pm (No. 6)
One atom of each set of equivalent atoms:
Hf 0.000 0.000 0.000 x1
Hf 0.062 0.500 0.368 x1
Zr 0.501 0.000 0.865 x1
Ni 0.386 0.000 0.237 x1
Ni 0.682 0.500 0.124 x1
As 0.300 0.500 0.071 x1
As 0.320 0.000 0.542 x1
As 0.762 0.000 0.296 x1
As 0.778 0.500 0.812 x1
Pd 0.179 0.500 0.742 x1
Pd 0.899 0.000 0.612 x1

Peak list (10 most intense, 5° ≤ 2θ ≤ 70°, by intensity)
| d_spacing | intensity | (hkl) |
| --- | --- | --- |
| 2.374 | 100.0 | 2 1 -1 |
| 6.492 | 88.9 | 1 0 0 |
| 2.111 | 66.5 | 0 1 3 |
| 1.935 | 66.0 | 0 2 0 |
| 2.487 | 64.5 | 2 1 0 |
| 2.482 | 61.4 | 1 1 2 |
| 2.350 | 54.3 | 2 1 1 |
| 2.510 | 45.2 | 1 1 -2 |
| 2.366 | 40.3 | 1 0 -3 |
| 2.435 | 34.6 | 2 0 2 |

***

No. 4
Structure and computed powder diffractogram of HfZr2NiAs4Pd3 (a crystal structure in OQMD, relaxed with GGA-PBE; Cu Kα (weighted mean of Kα1 and Kα2)).
Lines closer than 0.1° are merged.

Structure:
a b c (Å): 6.596 3.900 7.704
angles (deg): 90.00 91.35 90.00
Space group Pm (No. 6)
One atom of each set of equivalent atoms:
Hf 0.000 0.000 0.000 x1
Zr 0.493 0.000 0.129 x1
Zr 0.566 0.500 0.500 x1
Ni 0.184 0.500 0.255 x1
As 0.269 0.500 0.943 x1
As 0.277 0.000 0.431 x1
As 0.794 0.500 0.189 x1
As 0.814 0.000 0.691 x1
Pd 0.397 0.000 0.749 x1
Pd 0.677 0.500 0.874 x1
Pd 0.894 0.000 0.377 x1

Peak list (10 most intense, 5° ≤ 2θ ≤ 70°, by intensity)
| d_spacing | intensity | (hkl) |
| --- | --- | --- |
| 2.517 | 100.0 | 2 1 0 |
| 2.407 | 82.7 | 2 1 -1 |
| 2.144 | 62.7 | 0 1 3 |
| 1.950 | 48.6 | 0 2 0 |
| 2.381 | 35.9 | 2 1 1 |
| 2.546 | 33.1 | 1 1 -2 |
| 7.701 | 29.3 | 0 0 1 |
| 2.050 | 27.8 | 2 0 -3 |
| 3.358 | 21.9 | 1 1 0 |
| 2.028 | 20.9 | 1 1 3 |

***

No. 5
Structure and computed powder diffractogram of HfZr2Ni3As4Pd (a crystal structure in OQMD, relaxed with GGA-PBE; Cu Kα (weighted mean of Kα1 and Kα2)).
Lines closer than 0.1° are merged.

Structure:
a b c (Å): 6.564 3.844 7.406
angles (deg): 90.00 90.07 90.00
Space group Pm (No. 6)
One atom of each set of equivalent atoms:
Hf 0.000 0.000 0.000 x1
Zr 0.453 0.500 0.491 x1
Zr 0.940 0.500 0.622 x1
Ni 0.098 0.000 0.366 x1
Ni 0.633 0.000 0.751 x1
Ni 0.851 0.500 0.247 x1
As 0.224 0.500 0.200 x1
As 0.234 0.000 0.674 x1
As 0.713 0.500 0.941 x1
As 0.730 0.000 0.412 x1
Pd 0.331 0.500 0.880 x1

Peak list (10 most intense, 5° ≤ 2θ ≤ 70°, by intensity)
| d_spacing | intensity | (hkl) |
| --- | --- | --- |
| 2.365 | 100.0 | 2 1 1 |
| 2.471 | 74.2 | 1 1 -2 |
| 2.077 | 50.6 | 0 1 3 |
| 1.922 | 41.7 | 0 2 0 |
| 2.496 | 29.3 | 2 1 0 |
| 4.911 | 27.6 | 1 0 1 |
| 6.564 | 27.1 | 1 0 0 |
| 2.310 | 26.4 | 1 0 3 |
| 1.884 | 23.5 | 3 0 2 |
| 1.980 | 22.3 | 1 1 3 |

***

No. 6
Structure and computed powder diffractogram of Hf2ZrNi2As4Pd2 (a crystal structure in OQMD, relaxed with GGA-PBE; Cu Kα (weighted mean of Kα1 and Kα2)).
Lines closer than 0.1° are merged.

Structure:
a b c (Å): 6.516 3.873 7.458
angles (deg): 90.00 90.18 90.00
Space group Pm (No. 6)
One atom of each set of equivalent atoms:
Hf 0.000 0.000 0.000 x1
Hf 0.492 0.000 0.857 x1
Zr 0.933 0.500 0.376 x1
Ni 0.086 0.000 0.629 x1
Ni 0.603 0.000 0.233 x1
As 0.221 0.500 0.774 x1
As 0.228 0.000 0.328 x1
As 0.680 0.000 0.543 x1
As 0.705 0.500 0.069 x1
Pd 0.310 0.500 0.119 x1
Pd 0.822 0.500 0.747 x1

Peak list (10 most intense, 5° ≤ 2θ ≤ 70°, by intensity)
| d_spacing | intensity | (hkl) |
| --- | --- | --- |
| 2.365 | 100.0 | 2 1 1 |
| 2.483 | 70.1 | 1 1 2 |
| 7.458 | 61.7 | 0 0 1 |
| 2.493 | 55.4 | 2 1 0 |
| 1.937 | 43.3 | 0 2 0 |
| 2.092 | 38.5 | 0 1 3 |
| 1.992 | 35.7 | 1 1 -3 |
| 2.323 | 35.3 | 1 0 -3 |
| 3.040 | 18.9 | 1 1 -1 |
| 2.085 | 18.3 | 3 0 1 |

***

No. 7
Structure and computed powder diffractogram of Hf2ZrNi3As4Pd (a crystal structure in OQMD, relaxed with GGA-PBE; Cu Kα (weighted mean of Kα1 and Kα2)).
Lines closer than 0.1° are merged.

Structure:
a b c (Å): 6.480 3.859 7.351
angles (deg): 90.00 90.86 90.00
Space group Pm (No. 6)
One atom of each set of equivalent atoms:
Hf 0.000 0.000 0.000 x1
Hf 0.491 0.000 0.862 x1
Zr 0.935 0.500 0.380 x1
Ni 0.081 0.000 0.634 x1
Ni 0.611 0.000 0.242 x1
Ni 0.830 0.500 0.749 x1
As 0.211 0.500 0.780 x1
As 0.233 0.000 0.335 x1
As 0.698 0.000 0.561 x1
As 0.710 0.500 0.060 x1
Pd 0.317 0.500 0.128 x1

Peak list (10 most intense, 5° ≤ 2θ ≤ 70°, by intensity)
| d_spacing | intensity | (hkl) |
| --- | --- | --- |
| 2.452 | 100.0 | 1 1 2 |
| 7.351 | 94.1 | 0 0 1 |
| 2.359 | 92.5 | 2 1 -1 |
| 2.343 | 71.7 | 2 1 1 |
| 2.481 | 69.9 | 2 1 0 |
| 1.930 | 66.1 | 0 2 0 |
| 2.068 | 63.6 | 0 1 3 |
| 2.303 | 34.3 | 1 0 -3 |
| 1.978 | 31.7 | 1 1 -3 |
| 2.471 | 30.8 | 1 1 -2 |

***

No. 8
Structure and computed powder diffractogram of HfZr2Ni3As4Pd (a crystal structure in OQMD, relaxed with GGA-PBE; Cu Kα (weighted mean of Kα1 and Kα2)).
Lines closer than 0.1° are merged.

Structure:
a b c (Å): 6.499 3.845 7.422
angles (deg): 90.00 90.68 90.00
Space group Pm (No. 6)
One atom of each set of equivalent atoms:
Hf 0.000 0.000 0.000 x1
Zr 0.060 0.500 0.372 x1
Zr 0.509 0.000 0.864 x1
Ni 0.396 0.000 0.238 x1
Ni 0.688 0.500 0.124 x1
Ni 0.907 0.000 0.622 x1
As 0.304 0.500 0.072 x1
As 0.316 0.000 0.545 x1
As 0.763 0.000 0.312 x1
As 0.781 0.500 0.788 x1
Pd 0.173 0.500 0.745 x1

Peak list (10 most intense, 5° ≤ 2θ ≤ 70°, by intensity)
| d_spacing | intensity | (hkl) |
| --- | --- | --- |
| 2.480 | 100.0 | 2 1 0 |
| 2.360 | 80.7 | 2 1 -1 |
| 2.080 | 59.6 | 0 1 3 |
| 1.923 | 57.7 | 0 2 0 |
| 2.347 | 50.5 | 2 1 1 |
| 7.421 | 47.9 | 0 0 1 |
| 1.977 | 44.6 | 2 0 -3 |
| 2.462 | 41.3 | 1 1 2 |
| 6.499 | 41.0 | 1 0 0 |
| 1.861 | 26.3 | 3 0 2 |

***

No. 9
Structure and computed powder diffractogram of Hf2ZrNiAs4Pd3 (a crystal structure in OQMD, relaxed with GGA-PBE; Cu Kα (weighted mean of Kα1 and Kα2)).
Lines closer than 0.1° are merged.

Structure:
a b c (Å): 6.586 3.912 7.649
angles (deg): 90.00 90.03 90.00
Space group Pm (No. 6)
One atom of each set of equivalent atoms:
Hf 0.000 0.000 0.000 x1
Hf 0.495 0.000 0.872 x1
Zr 0.922 0.500 0.378 x1
Ni 0.825 0.500 0.749 x1
As 0.211 0.000 0.320 x1
As 0.217 0.500 0.805 x1
As 0.691 0.000 0.577 x1
As 0.715 0.500 0.051 x1
Pd 0.085 0.000 0.632 x1
Pd 0.310 0.500 0.130 x1
Pd 0.607 0.000 0.255 x1

Peak list (10 most intense, 5° ≤ 2θ ≤ 70°, by intensity)
| d_spacing | intensity | (hkl) |
| --- | --- | --- |
| 2.523 | 100.0 | 2 1 0 |
| 2.393 | 72.1 | 2 1 -1 |
| 7.649 | 39.8 | 0 0 1 |
| 2.136 | 36.9 | 0 1 3 |
| 1.956 | 33.9 | 0 2 0 |
| 2.032 | 29.1 | 1 1 -3 |
| 2.378 | 25.3 | 1 0 -3 |
| 1.904 | 20.1 | 3 0 -2 |
| 3.912 | 15.5 | 0 1 0 |
| 1.353 | 13.7 | 3 1 4 |

***

No. 10
Structure and computed powder diffractogram of Hf2ZrNi2As4Pd2 (a crystal structure in OQMD, relaxed with GGA-PBE; Cu Kα (weighted mean of Kα1 and Kα2)).
Lines closer than 0.1° are merged.

Structure:
a b c (Å): 6.558 3.857 7.533
angles (deg): 90.00 90.49 90.00
Space group Pm (No. 6)
One atom of each set of equivalent atoms:
Hf 0.000 0.000 0.000 x1
Hf 0.485 0.000 0.132 x1
Zr 0.559 0.500 0.507 x1
Ni 0.190 0.500 0.252 x1
Ni 0.398 0.000 0.759 x1
As 0.267 0.500 0.921 x1
As 0.273 0.000 0.448 x1
As 0.787 0.500 0.192 x1
As 0.800 0.000 0.696 x1
Pd 0.658 0.500 0.879 x1
Pd 0.895 0.000 0.380 x1

Peak list (10 most intense, 5° ≤ 2θ ≤ 70°, by intensity)
| d_spacing | intensity | (hkl) |
| --- | --- | --- |
| 2.498 | 100.0 | 2 1 0 |
| 2.104 | 61.0 | 0 1 3 |
| 7.533 | 57.3 | 0 0 1 |
| 2.376 | 52.4 | 2 1 -1 |
| 2.367 | 47.8 | 2 1 1 |
| 1.929 | 44.2 | 0 2 0 |
| 2.487 | 30.7 | 1 1 2 |
| 2.000 | 30.3 | 1 1 3 |
| 1.884 | 17.9 | 3 0 2 |
| 2.338 | 17.9 | 1 0 3 |

***

No. 11
Structure and computed powder diffractogram of Hf2ZrNi3As4Pd (a crystal structure in OQMD, relaxed with GGA-PBE; Cu Kα (weighted mean of Kα1 and Kα2)).
Lines closer than 0.1° are merged.

Structure:
a b c (Å): 6.440 3.843 7.469
angles (deg): 90.00 90.84 90.00
Space group Pm (No. 6)
One atom of each set of equivalent atoms:
Hf 0.000 0.000 0.000 x1
Hf 0.499 0.000 0.132 x1
Zr 0.562 0.500 0.502 x1
Ni 0.175 0.500 0.259 x1
Ni 0.676 0.500 0.881 x1
Ni 0.885 0.000 0.373 x1
As 0.256 0.000 0.434 x1
As 0.279 0.500 0.944 x1
As 0.796 0.500 0.195 x1
As 0.810 0.000 0.689 x1
Pd 0.405 0.000 0.754 x1

Peak list (10 most intense, 5° ≤ 2θ ≤ 70°, by intensity)
| d_spacing | intensity | (hkl) |
| --- | --- | --- |
| 2.466 | 100.0 | 2 1 0 |
| 2.351 | 79.3 | 2 1 -1 |
| 2.335 | 75.4 | 1 0 -3 |
| 7.468 | 67.8 | 0 0 1 |
| 1.922 | 52.4 | 0 2 0 |
| 2.089 | 51.0 | 0 1 3 |
| 2.482 | 44.6 | 1 1 -2 |
| 1.981 | 35.6 | 1 1 3 |
| 3.843 | 28.4 | 0 1 0 |
| 1.995 | 21.0 | 1 1 -3 |

***

No. 12
Structure and computed powder diffractogram of HfZr2Ni3As4Pd (a crystal structure in OQMD, relaxed with GGA-PBE; Cu Kα (weighted mean of Kα1 and Kα2)).
Lines closer than 0.1° are merged.

Structure:
a b c (Å): 6.562 3.843 7.407
angles (deg): 90.00 90.11 90.00
Space group Pm (No. 6)
One atom of each set of equivalent atoms:
Hf 0.000 0.000 0.000 x1
Zr 0.487 0.000 0.870 x1
Zr 0.938 0.500 0.379 x1
Ni 0.088 0.000 0.632 x1
Ni 0.302 0.500 0.128 x1
Ni 0.840 0.500 0.749 x1
As 0.209 0.500 0.792 x1
As 0.226 0.000 0.319 x1
As 0.708 0.500 0.053 x1
As 0.714 0.000 0.580 x1
Pd 0.605 0.000 0.257 x1

Peak list (10 most intense, 5° ≤ 2θ ≤ 70°, by intensity)
| d_spacing | intensity | (hkl) |
| --- | --- | --- |
| 2.365 | 100.0 | 2 1 -1 |
| 2.470 | 72.7 | 1 1 2 |
| 2.077 | 48.5 | 0 1 3 |
| 1.922 | 42.8 | 0 2 0 |
| 2.495 | 38.2 | 2 1 0 |
| 7.407 | 35.7 | 0 0 1 |
| 1.981 | 29.3 | 1 1 -3 |
| 2.311 | 26.2 | 1 0 -3 |
| 1.884 | 26.1 | 3 0 -2 |
| 6.562 | 25.3 | 1 0 0 |